Theoretical powder X-ray diffraction pattern
Compound: Li9Mn2Co5O16
Radiation: Cu Ka
Structure: the GGA+U geometry in the Materials Project
Peak positions follow from Bragg's law for the DFT cell and can differ from measured ones.

Cell and atoms:
```
data_Li9Mn2Co5O16
_cell_length_a 5.130
_cell_length_b 7.694
_cell_length_c 7.793
_cell_angle_alpha 82.58
_cell_angle_beta 83.90
_cell_angle_gamma 71.87
_symmetry_space_group_name_H-M 'P 1'
_symmetry_Int_Tables_number 1
loop_
_symmetry_equiv_pos_as_xyz
'x,y,z'
loop_
_atom_site_label
_atom_site_fract_x
_atom_site_fract_y
_atom_site_fract_z
_atom_site_occupancy
Li1 0.000 0.000 0.000 1
Li2 0.000 0.251 0.253 1
Li3 0.002 0.386 0.861 1
Li4 0.003 0.495 0.515 1
Li5 0.004 0.624 0.124 1
Li6 0.005 0.878 0.383 1
Li7 0.010 0.745 0.755 1
Li8 0.504 0.440 0.687 1
Li9 0.996 0.126 0.629 1
Mn1 0.498 0.939 0.193 1
Mn2 0.507 0.561 0.316 1
Co1 0.495 0.195 0.449 1
Co2 0.500 0.064 0.813 1
Co3 0.506 0.313 0.056 1
Co4 0.507 0.677 0.933 1
Co5 0.507 0.806 0.570 1
O1 0.267 0.268 0.650 1
O2 0.270 0.535 0.918 1
O3 0.273 0.142 0.044 1
O4 0.274 0.903 0.784 1
O5 0.275 0.026 0.397 1
O6 0.281 0.412 0.280 1
O7 0.283 0.658 0.519 1
O8 0.283 0.776 0.168 1
O9 0.720 0.848 0.985 1
O10 0.721 0.092 0.226 1
O11 0.726 0.726 0.336 1
O12 0.729 0.212 0.858 1
O13 0.732 0.475 0.104 1
O14 0.733 0.972 0.594 1
O15 0.734 0.358 0.454 1
O16 0.746 0.607 0.723 1
```

Principal peaks in the range 2θ = 10–90°, most intense first:
2θ/deg	d_spacing	I_rel
18.2	4.863	100
43.0	2.102	29
43.4	2.085	28
43.9	2.061	27
62.7	1.482	15
62.9	1.478	15
35.6	2.520	14
35.9	2.504	14

Theoretical powder X-ray diffraction pattern
Compound: MgMn6O7F5
Radiation: Cu Ka
Structure: the GGA+U geometry in the Materials Project
Peak positions follow from Bragg's law for the DFT cell and can differ from measured ones.

Cell and atoms:
```
data_MgMn6O7F5
_cell_length_a 5.122
_cell_length_b 5.675
_cell_length_c 7.780
_cell_angle_alpha 87.21
_cell_angle_beta 85.14
_cell_angle_gamma 82.71
_symmetry_space_group_name_H-M 'P 1'
_symmetry_Int_Tables_number 1
loop_
_symmetry_equiv_pos_as_xyz
'x,y,z'
loop_
_atom_site_label
_atom_site_fract_x
_atom_site_fract_y
_atom_site_fract_z
_atom_site_occupancy
Mg1 0.000 0.000 0.000 1
Mn1 0.033 0.599 0.799 1
Mn2 0.048 0.919 0.463 1
Mn3 0.192 0.400 0.204 1
Mn4 0.512 0.134 0.810 1
Mn5 0.513 0.785 0.124 1
Mn6 0.592 0.488 0.494 1
O1 0.207 0.651 0.024 1
O2 0.212 0.190 0.391 1
O3 0.318 0.687 0.339 1
O4 0.321 0.138 0.045 1
O5 0.357 0.423 0.710 1
O6 0.718 0.837 0.906 1
O7 0.890 0.653 0.576 1
F1 0.197 0.944 0.734 1
F2 0.733 0.128 0.577 1
F3 0.772 0.471 0.233 1
F4 0.801 0.949 0.230 1
F5 0.834 0.304 0.901 1
```

Principal peaks in the range 2θ = 10–90°, most intense first:
2θ/deg	d_spacing	I_rel
27.9	3.192	100
24.0	3.706	63
33.6	2.671	37
33.7	2.660	34
34.3	2.612	28
37.8	2.378	26
52.5	1.742	25
58.9	1.567	23

Theoretical powder X-ray diffraction pattern
Compound: Al3FeSiBO9
Radiation: Cu Ka
Structure: the GGA+U geometry in the Materials Project
Peak positions follow from Bragg's law for the DFT cell and can differ from measured ones.

Cell and atoms:
```
data_Al3FeSiBO9
_cell_length_a 11.238
_cell_length_b 5.834
_cell_length_c 10.461
_cell_angle_alpha 90.00
_cell_angle_beta 90.00
_cell_angle_gamma 90.00
_symmetry_space_group_name_H-M 'P 1'
_symmetry_Int_Tables_number 1
loop_
_symmetry_equiv_pos_as_xyz
'x,y,z'
loop_
_atom_site_label
_atom_site_fract_x
_atom_site_fract_y
_atom_site_fract_z
_atom_site_occupancy
Al1 0.000 0.000 0.000 1
Al2 0.000 0.000 0.500 1
Al3 0.000 0.500 0.000 1
Al4 0.000 0.500 0.500 1
Al5 0.052 0.250 0.227 1
Al6 0.448 0.750 0.727 1
Al7 0.500 0.000 0.000 1
Al8 0.500 0.000 0.500 1
Al9 0.500 0.500 0.000 1
Al10 0.500 0.500 0.500 1
Al11 0.552 0.250 0.273 1
Al12 0.948 0.750 0.773 1
Fe1 0.219 0.750 0.594 1
Fe2 0.281 0.250 0.094 1
Fe3 0.719 0.750 0.906 1
Fe4 0.781 0.250 0.406 1
Si1 0.236 0.250 0.435 1
Si2 0.264 0.750 0.935 1
Si3 0.736 0.250 0.065 1
Si4 0.764 0.750 0.565 1
B1 0.000 0.250 0.751 1
B2 0.000 0.750 0.249 1
B3 0.500 0.250 0.749 1
B4 0.500 0.750 0.251 1
O1 0.001 0.046 0.819 1
O2 0.001 0.454 0.819 1
O3 0.004 0.750 0.378 1
O4 0.019 0.750 0.617 1
O5 0.096 0.250 0.047 1
O6 0.122 0.750 0.974 1
O7 0.170 0.025 0.494 1
O8 0.170 0.475 0.494 1
O9 0.208 0.250 0.278 1
O10 0.292 0.750 0.778 1
O11 0.330 0.525 0.994 1
O12 0.330 0.975 0.994 1
O13 0.378 0.250 0.474 1
O14 0.404 0.750 0.547 1
O15 0.481 0.250 0.117 1
O16 0.496 0.250 0.878 1
O17 0.499 0.546 0.319 1
O18 0.499 0.954 0.319 1
O19 0.501 0.046 0.681 1
O20 0.501 0.454 0.681 1
O21 0.504 0.750 0.122 1
O22 0.519 0.750 0.883 1
O23 0.596 0.250 0.453 1
O24 0.622 0.750 0.526 1
O25 0.670 0.025 0.006 1
O26 0.670 0.475 0.006 1
O27 0.708 0.250 0.222 1
O28 0.792 0.750 0.722 1
O29 0.830 0.525 0.506 1
O30 0.830 0.975 0.506 1
O31 0.878 0.250 0.026 1
O32 0.904 0.750 0.953 1
O33 0.981 0.250 0.383 1
O34 0.996 0.250 0.622 1
O35 0.999 0.546 0.181 1
O36 0.999 0.954 0.181 1
```

Principal peaks in the range 2θ = 10–90°, most intense first:
2θ/deg	d_spacing	I_rel
17.4	5.095	100
17.0	5.231	74
31.9	2.809	49
23.6	3.774	43
41.1	2.196	41
33.9	2.642	29
29.9	2.993	26
15.8	5.619	24

Theoretical powder X-ray diffraction pattern
Compound: NiS2O12
Radiation: Cu Ka
Structure: the GGA+U geometry in the Materials Project
Peak positions follow from Bragg's law for the DFT cell and can differ from measured ones.

Cell and atoms:
```
data_NiS2O12
_cell_length_a 6.440
_cell_length_b 7.436
_cell_length_c 8.532
_cell_angle_alpha 68.12
_cell_angle_beta 71.65
_cell_angle_gamma 86.26
_symmetry_space_group_name_H-M 'P 1'
_symmetry_Int_Tables_number 1
loop_
_symmetry_equiv_pos_as_xyz
'x,y,z'
loop_
_atom_site_label
_atom_site_fract_x
_atom_site_fract_y
_atom_site_fract_z
_atom_site_occupancy
Ni1 0.000 0.000 0.000 1
S1 0.490 0.426 0.305 1
S2 0.510 0.574 0.695 1
O1 0.030 0.060 0.314 1
O2 0.040 0.771 0.092 1
O3 0.148 0.075 0.163 1
O4 0.299 0.614 0.670 1
O5 0.316 0.277 0.396 1
O6 0.452 0.615 0.192 1
O7 0.548 0.385 0.808 1
O8 0.684 0.723 0.604 1
O9 0.701 0.386 0.330 1
O10 0.852 0.925 0.837 1
O11 0.960 0.229 0.908 1
O12 0.970 0.940 0.686 1
```

Principal peaks in the range 2θ = 10–90°, most intense first:
2θ/deg	d_spacing	I_rel
18.9	4.708	100
20.0	4.439	70
22.3	3.980	64
20.5	4.338	38
21.4	4.144	34
15.6	5.691	18
29.3	3.051	16
28.6	3.119	15

Theoretical powder X-ray diffraction pattern
Compound: MgFe2O5
Radiation: Cu Ka
Structure: the GGA+U geometry in the Materials Project
Peak positions follow from Bragg's law for the DFT cell and can differ from measured ones.

Cell and atoms:
```
data_MgFe2O5
_cell_length_a 3.321
_cell_length_b 11.600
_cell_length_c 5.042
_cell_angle_alpha 90.00
_cell_angle_beta 90.00
_cell_angle_gamma 90.00
_symmetry_space_group_name_H-M 'P 1'
_symmetry_Int_Tables_number 1
loop_
_symmetry_equiv_pos_as_xyz
'x,y,z'
loop_
_atom_site_label
_atom_site_fract_x
_atom_site_fract_y
_atom_site_fract_z
_atom_site_occupancy
Mg1 0.250 0.250 0.133 1
Mg2 0.750 0.750 0.867 1
Fe1 0.250 0.602 0.417 1
Fe2 0.250 0.898 0.417 1
Fe3 0.750 0.102 0.583 1
Fe4 0.750 0.398 0.583 1
O1 0.250 0.070 0.386 1
O2 0.250 0.430 0.386 1
O3 0.250 0.657 0.074 1
O4 0.250 0.750 0.582 1
O5 0.250 0.843 0.074 1
O6 0.750 0.157 0.926 1
O7 0.750 0.250 0.418 1
O8 0.750 0.343 0.926 1
O9 0.750 0.570 0.614 1
O10 0.750 0.930 0.614 1
```

Principal peaks in the range 2θ = 10–90°, most intense first:
2θ/deg	d_spacing	I_rel
17.6	5.042	100
32.3	2.774	53
35.6	2.520	46
23.4	3.805	41
27.9	3.193	40
33.2	2.698	28
47.9	1.897	27
29.1	3.068	25